# Y3Bi
Computed powder X-ray diffraction pattern, copper Kα. Input: DFT lattice parameters and positions (PBE).
Peak positions follow from Bragg's law for the DFT cell and can differ from measured ones.

Structural model:
```
Y3Bi
1.0
6.659 0.000 0.000
0.000 4.071 0.000
-1.741 0.000 9.372
Y Bi
6 2
Direct
0.090 0.250 0.369
0.230 0.250 0.911
0.406 0.750 0.636
0.594 0.250 0.364
0.770 0.750 0.089
0.910 0.750 0.631
0.288 0.750 0.164
0.712 0.250 0.836
```

The 10 most intense peaks (10 to 90 degrees two-theta), by angle:
| h k l | 2theta | intensity |
| --- | --- | --- |
| 1 0 1 | 17.89 | 15 |
| 2 0 0 | 27.21 | 22 |
| 0 1 2 | 29.05 | 100 |
| 2 0 1 | 30.55 | 19 |
| 2 1 -1 | 35.15 | 52 |
| 2 0 -3 | 35.93 | 15 |
| 2 0 2 | 36.23 | 13 |
| 0 0 4 | 38.40 | 21 |
| 0 2 0 | 44.52 | 20 |
| 4 1 1 | 63.73 | 13 |